(1)
This entry pairs a crystal structure of Na5Bi2As5O18 with its computed powder XRD pattern. Radiation: Cu Kα, 1.54184 Å. Structure: a cell relaxed with PBE.
Intensities are scaled so that the largest is 100.

The 10 most intense peaks (10 to 90 degrees two-theta), most intense first:
- hkl 0 1 -1, 2θ 10.59, intensity 100
- hkl 0 1 3, 2θ 24.58, intensity 95
- hkl 0 2 -1, 2θ 18.02, intensity 90
- hkl 0 3 -2, 2θ 28.44, intensity 85
- hkl 0 2 2, 2θ 24.18, intensity 83
- hkl 0 0 4, 2θ 29.30, intensity 77
- hkl -1 1 1, 2θ 16.88, intensity 71
- hkl 2 -1 0, 2θ 26.11, intensity 69
- hkl 2 0 0, 2θ 24.76, intensity 66
- hkl 0 3 2, 2θ 31.81, intensity 61

Structure:
Lattice parameters (Å, degrees): 7.1985 10.2599 12.2983 97.29 92.23 90.92
Space group P-1 (No. 2)
Inequivalent atoms, fractional coordinates:
Na (0.0120, 0.0626, 0.3727) (multiplicity 2)
Na (0.0908, 0.2208, 0.1528) (multiplicity 2)
Na (0.2256, 0.8747, 0.1410) (multiplicity 2)
Na (0.3335, 0.3904, 0.3759) (multiplicity 2)
Na (0.4690, 0.7291, 0.9031) (multiplicity 2)
Bi (0.2321, 0.3720, 0.8941) (multiplicity 2)
Bi (0.3303, 0.7658, 0.4405) (multiplicity 2)
As (0.1712, 0.5824, 0.6606) (multiplicity 2)
As (0.1733, 0.2667, 0.6064) (multiplicity 2)
As (0.2257, 0.0205, 0.8916) (multiplicity 2)
As (0.2821, 0.5741, 0.1584) (multiplicity 2)
As (0.4881, 0.0622, 0.3033) (multiplicity 2)
O (0.0072, 0.8384, 0.4404) (multiplicity 2)
O (0.0092, 0.3148, 0.3337) (multiplicity 2)
O (0.0287, 0.9931, 0.8119) (multiplicity 2)
O (0.0652, 0.4222, 0.6077) (multiplicity 2)
O (0.0890, 0.6676, 0.1412) (multiplicity 2)
O (0.2314, 0.1748, 0.9693) (multiplicity 2)
O (0.2466, 0.4129, 0.1023) (multiplicity 2)
O (0.2605, 0.2453, 0.7331) (multiplicity 2)
O (0.2623, 0.8937, 0.9638) (multiplicity 2)
O (0.2702, 0.5650, 0.7868) (multiplicity 2)
O (0.3219, 0.9554, 0.3401) (multiplicity 2)
O (0.3282, 0.9112, 0.6027) (multiplicity 2)
O (0.3301, 0.6043, 0.5625) (multiplicity 2)
O (0.3449, 0.5852, 0.2957) (multiplicity 2)
O (0.3507, 0.2533, 0.5169) (multiplicity 2)
O (0.3951, 0.1954, 0.2561) (multiplicity 2)
O (0.4330, 0.0373, 0.8158) (multiplicity 2)
O (0.4482, 0.6453, 0.0843) (multiplicity 2)

(2)
This entry pairs a crystal structure of Nd5Bi2As2 with its computed powder XRD pattern. Radiation: Cu Kα, 1.54184 Å. Structure: a cell relaxed with PBE.
Intensities are scaled so that the largest is 100.

The 10 most intense peaks (10 to 90 degrees two-theta), most intense first:
- hkl 5 1 1, 2θ 32.17, intensity 100
- hkl 4 2 1, 2θ 33.23, intensity 77
- hkl 4 0 2, 2θ 31.32, intensity 76
- hkl 1 1 3, 2θ 34.76, intensity 69
- hkl 1 3 1, 2θ 34.92, intensity 69
- hkl 0 2 2, 2θ 30.64, intensity 67
- hkl 3 1 2, 2θ 29.50, intensity 63
- hkl 5 3 3, 2θ 55.45, intensity 39
- hkl 0 4 4, 2θ 63.79, intensity 33
- hkl 5 1 2, 2θ 37.40, intensity 33

Structure:
Lattice parameters (Å, degrees): 15.8250 8.2287 8.2769 90.00 90.00 90.00
Space group Cmce (No. 64)
Inequivalent atoms, fractional coordinates:
Nd (0.0000, 0.0000, 0.0000) (multiplicity 4)
Nd (0.1254, 0.1594, 0.3408) (multiplicity 16)
Bi (0.2043, 0.0000, 0.0000) (multiplicity 8)
As (0.0000, 0.1460, 0.6446) (multiplicity 8)

(3)
This entry pairs a crystal structure of Nd7BiAs5 with its computed powder XRD pattern. Radiation: Cu Kα, 1.54184 Å. Structure: a cell relaxed with PBE.
Intensities are scaled so that the largest is 100.

The 10 most intense peaks (10 to 90 degrees two-theta), most intense first:
- hkl 1 3 2, 2θ 28.98, intensity 100
- hkl 1 3 3, 2θ 30.06, intensity 80
- hkl 0 2 7, 2θ 27.73, intensity 79
- hkl 2 0 0, 2θ 41.90, intensity 59
- hkl 1 5 5, 2θ 42.26, intensity 31
- hkl 2 2 7, 2θ 51.00, intensity 29
- hkl 1 1 9, 2θ 38.77, intensity 26
- hkl 1 1 5, 2θ 27.91, intensity 24
- hkl 0 6 5, 2θ 42.42, intensity 22
- hkl 1 5 4, 2θ 40.82, intensity 16

Structure:
Lattice parameters (Å, degrees): 4.3111 14.0962 25.3066 90.00 90.00 90.00
Space group Cmcm (No. 63)
Inequivalent atoms, fractional coordinates:
Nd (0.0000, 0.0323, 0.2500) (multiplicity 4)
Nd (0.0000, 0.1362, 0.5346) (multiplicity 8)
Nd (0.0000, 0.3247, 0.1728) (multiplicity 8)
Nd (0.0000, 0.4088, 0.6044) (multiplicity 8)
Bi (0.0000, 0.2980, 0.7500) (multiplicity 4)
As (0.0000, 0.0435, 0.6428) (multiplicity 8)
As (0.0000, 0.2279, 0.0726) (multiplicity 8)
As (0.0000, 0.5000, 0.0000) (multiplicity 4)

(4)
This entry pairs a crystal structure of NdBi2As2Rh7 with its computed powder XRD pattern. Radiation: Cu Kα, 1.54184 Å. Structure: a cell relaxed with PBE.
Intensities are scaled so that the largest is 100.

The 10 most intense peaks (10 to 90 degrees two-theta), most intense first:
- hkl 0 0 5, 2θ 31.94, intensity 100
- hkl 2 2 -1, 2θ 44.77, intensity 79
- hkl 2 0 2, 2θ 35.79, intensity 74
- hkl 0 2 3, 2θ 36.84, intensity 73
- hkl 2 0 -3, 2θ 34.54, intensity 62
- hkl 0 0 7, 2θ 45.31, intensity 51
- hkl 0 2 0, 2θ 31.25, intensity 39
- hkl 1 1 -3, 2θ 27.73, intensity 33
- hkl 2 2 0, 2θ 44.98, intensity 30
- hkl 0 2 2, 2θ 33.84, intensity 29

Structure:
Lattice parameters (Å, degrees): 5.7377 5.7231 14.1536 90.00 98.24 90.00
Space group C2/m (No. 12)
Inequivalent atoms, fractional coordinates:
Nd (0.0000, 0.0000, 0.0000) (multiplicity 2)
Bi (0.1153, 0.0000, 0.3910) (multiplicity 4)
As (0.0866, 0.5000, 0.2491) (multiplicity 4)
Rh (0.0000, 0.5000, 0.0000) (multiplicity 2)
Rh (0.1291, 0.5000, 0.4258) (multiplicity 4)
Rh (0.1966, 0.2501, 0.8447) (multiplicity 8)

(5)
This entry pairs a crystal structure of Ni2BiAs with its computed powder XRD pattern. Radiation: Cu Kα, 1.54184 Å. Structure: a cell relaxed with PBE.
Intensities are scaled so that the largest is 100.

The 10 most intense peaks (10 to 90 degrees two-theta), most intense first:
- hkl 2 1 1, 2θ 32.19, intensity 100
- hkl 0 2 1, 2θ 30.67, intensity 49
- hkl 2 3 0, 2θ 46.06, intensity 40
- hkl 2 1 2, 2θ 44.03, intensity 36
- hkl 0 2 2, 2θ 42.87, intensity 29
- hkl 2 1 3, 2θ 59.54, intensity 18
- hkl 1 1 1, 2θ 24.29, intensity 16
- hkl 4 2 1, 2θ 59.18, intensity 16
- hkl 1 2 1, 2θ 33.03, intensity 15
- hkl 2 3 4, 2θ 89.14, intensity 13

Structure:
Lattice parameters (Å, degrees): 7.3953 6.9863 5.2931 90.00 90.00 90.00
Space group Pbcm (No. 57)
Inequivalent atoms, fractional coordinates:
Ni (0.0719, 0.2500, 0.0000) (multiplicity 4)
Ni (0.3125, 0.7500, 0.0000) (multiplicity 4)
Bi (0.3759, 0.0892, 0.2500) (multiplicity 4)
As (0.1213, 0.5494, 0.2500) (multiplicity 4)

(6)
This entry pairs a crystal structure of Bi3As2O10 with its computed powder XRD pattern. Radiation: Cu Kα, 1.54184 Å. Structure: a cell relaxed with PBE.
Intensities are scaled so that the largest is 100.

The 10 most intense peaks (10 to 90 degrees two-theta), most intense first:
- hkl 2 0 0, 2θ 26.72, intensity 100
- hkl 1 2 -1, 2θ 27.70, intensity 98
- hkl 1 -2 1, 2θ 27.14, intensity 94
- hkl 0 1 2, 2θ 28.85, intensity 73
- hkl -1 1 2, 2θ 28.03, intensity 60
- hkl 1 1 -3, 2θ 28.68, intensity 45
- hkl 0 1 -3, 2θ 29.22, intensity 44
- hkl 0 1 1, 2θ 19.61, intensity 41
- hkl 1 -1 3, 2θ 35.40, intensity 37
- hkl 2 1 -3, 2θ 34.06, intensity 28

Structure:
Lattice parameters (Å, degrees): 7.0128 7.4547 9.5359 111.60 105.90 91.71
Space group P-1 (No. 2)
Inequivalent atoms, fractional coordinates:
Bi (0.2005, 0.3396, 0.4012) (multiplicity 2)
Bi (0.2227, 0.1187, 0.9870) (multiplicity 2)
Bi (0.2736, 0.7317, 0.1936) (multiplicity 2)
As (0.2349, 0.4595, 0.7918) (multiplicity 2)
As (0.3095, 0.8638, 0.6021) (multiplicity 2)
O (0.0579, 0.4752, 0.6306) (multiplicity 2)
O (0.1026, 0.9419, 0.1054) (multiplicity 2)
O (0.1062, 0.3376, 0.8687) (multiplicity 2)
O (0.1190, 0.8862, 0.6855) (multiplicity 2)
O (0.2176, 0.3870, 0.1886) (multiplicity 2)
O (0.2590, 0.9243, 0.4386) (multiplicity 2)
O (0.3580, 0.6722, 0.9493) (multiplicity 2)
O (0.3881, 0.6370, 0.5467) (multiplicity 2)
O (0.3926, 0.3262, 0.6992) (multiplicity 2)
O (0.4838, 0.0000, 0.2401) (multiplicity 2)

(7)
This entry pairs a crystal structure of Bi2AsO4 with its computed powder XRD pattern. Radiation: Cu Kα, 1.54184 Å. Structure: a cell relaxed with PBE.
Intensities are scaled so that the largest is 100.

The 10 most intense peaks (10 to 90 degrees two-theta), most intense first:
- hkl 1 1 2, 2θ 34.03, intensity 100
- hkl 1 1 0, 2θ 19.37, intensity 98
- hkl 2 0 0, 2θ 27.50, intensity 80
- hkl 3 1 2, 2θ 52.93, intensity 66
- hkl 2 2 0, 2θ 39.29, intensity 36
- hkl 2 0 2, 2θ 39.44, intensity 31
- hkl 3 1 0, 2θ 44.16, intensity 30
- hkl 0 0 2, 2θ 27.71, intensity 25
- hkl 2 2 2, 2θ 48.76, intensity 19
- hkl 5 1 2, 2θ 81.34, intensity 19

Structure:
Lattice parameters (Å, degrees): 6.4857 6.4857 6.4379 90.00 90.00 90.00
Space group I-42m (No. 121)
Inequivalent atoms, fractional coordinates:
Bi (0.0000, 0.5000, 0.2500) (multiplicity 4)
As (0.0000, 0.0000, 0.0000) (multiplicity 2)
O (0.1544, 0.1544, 0.8354) (multiplicity 8)

(8)
This entry pairs a crystal structure of Bi2AsO6 with its computed powder XRD pattern. Radiation: Cu Kα, 1.54184 Å. Structure: a cell relaxed with PBE.
Intensities are scaled so that the largest is 100.

The 10 most intense peaks (10 to 90 degrees two-theta), most intense first:
- hkl 2 0 -2, 2θ 33.29, intensity 100
- hkl 1 1 -1, 2θ 22.16, intensity 71
- hkl 1 1 1, 2θ 31.85, intensity 68
- hkl 0 0 2, 2θ 23.55, intensity 42
- hkl 0 2 1, 2θ 32.01, intensity 39
- hkl 1 1 0, 2θ 24.69, intensity 28
- hkl 1 1 -2, 2θ 25.58, intensity 26
- hkl 1 3 0, 2θ 49.75, intensity 26
- hkl 0 2 0, 2θ 29.68, intensity 21
- hkl 1 3 -2, 2θ 50.24, intensity 20

Structure:
Lattice parameters (Å, degrees): 5.3868 6.0197 9.0353 90.00 123.27 90.00
Space group P2_1/c (No. 14)
Inequivalent atoms, fractional coordinates:
Bi (0.2326, 0.0779, 0.2484) (multiplicity 4)
As (0.5000, 0.0000, 0.0000) (multiplicity 2)
O (0.1627, 0.1463, 0.9576) (multiplicity 4)
O (0.2983, 0.7274, 0.9376) (multiplicity 4)
O (0.3883, 0.0527, 0.7683) (multiplicity 4)

(9)
This entry pairs a crystal structure of BiAsO4 with its computed powder XRD pattern. Radiation: Cu Kα, 1.54184 Å. Structure: a cell relaxed with PBE.
Intensities are scaled so that the largest is 100.

The 10 most intense peaks (10 to 90 degrees two-theta), most intense first:
- hkl 2 0 0, 2θ 24.12, intensity 100
- hkl 1 1 2, 2θ 32.42, intensity 76
- hkl 3 1 2, 2θ 47.96, intensity 63
- hkl 1 0 1, 2θ 18.17, intensity 31
- hkl 2 2 0, 2θ 34.37, intensity 27
- hkl 3 3 2, 2θ 60.33, intensity 18
- hkl 5 1 2, 2θ 71.31, intensity 16
- hkl 4 2 0, 2θ 55.70, intensity 16
- hkl 4 0 0, 2θ 49.40, intensity 16
- hkl 2 0 4, 2θ 62.35, intensity 15

Structure:
Lattice parameters (Å, degrees): 7.3803 7.3803 6.5103 90.00 90.00 90.00
Space group I4_1/amd (No. 141, origin choice 2)
Inequivalent atoms, fractional coordinates:
Bi (0.0000, 0.2500, 0.3750) (multiplicity 4)
As (0.0000, 0.2500, 0.8750) (multiplicity 4)
O (0.0000, 0.0724, 0.7019) (multiplicity 16)

(10)
This entry pairs a crystal structure of Bi12AsO20 with its computed powder XRD pattern. Radiation: Cu Kα, 1.54184 Å. Structure: a cell relaxed with PBE.
Intensities are scaled so that the largest is 100.

The 10 most intense peaks (10 to 90 degrees two-theta), most intense first:
- hkl 3 0 1, 2θ 27.15, intensity 100
- hkl 3 1 2, 2θ 32.24, intensity 63
- hkl 5 3 0, 2θ 51.28, intensity 26
- hkl 5 2 3, 2θ 54.45, intensity 24
- hkl 6 1 3, 2θ 60.44, intensity 22
- hkl 2 2 2, 2θ 29.79, intensity 21
- hkl 4 3 1, 2θ 44.47, intensity 20
- hkl 6 0 0, 2θ 52.88, intensity 19
- hkl 2 2 0, 2θ 24.23, intensity 17
- hkl 3 3 2, 2θ 40.74, intensity 16

Structure:
Lattice parameters (Å, degrees): 10.3882 10.3882 10.3882 90.00 90.00 90.00
Space group I23 (No. 197)
Inequivalent atoms, fractional coordinates:
Bi (0.0239, 0.3248, 0.8234) (multiplicity 24)
As (0.0000, 0.0000, 0.0000) (multiplicity 2)
O (0.0053, 0.2528, 0.3683) (multiplicity 24)
O (0.0965, 0.0965, 0.0965) (multiplicity 8)
O (0.1996, 0.1996, 0.8004) (multiplicity 8)